Calculated powder X-ray diffraction pattern
Compound: La4H4N
Radiation: Cu Kα, 1.54184 Å
Structure: a DFT-relaxed cell (GGA-PBE, Alexandria)
No peak broadening, texture or thermal motion is included.

Cell and atoms:
Cell lengths 7.045, 7.045, 7.045 Å; angles 131.70, 131.70, 70.70 degrees
Atoms (fractional coordinates):
La (0.112, 0.650, 0.000)
La (0.350, 0.350, 0.461)
La (0.650, 0.112, 0.000)
La (0.888, 0.888, 0.539)
H (0.000, 0.500, 0.500)
H (0.254, 0.254, 0.000)
H (0.500, 0.000, 0.500)
H (0.746, 0.746, 0.000)
N (0.000, 0.000, 0.000)

Principal peaks in the range 2θ = 10–80°, low angle first:
2θ/deg, I/Imax
26.81, 100.0
31.03, 30.9
31.13, 15.9
44.50, 38.1
52.67, 27.3
52.81, 14.6
55.26, 11.3
71.32, 4.8
71.44, 10.4
73.49, 8.4